Theoretical powder XRD pattern of La3TmPd12 for λ = 1.5418 Å (Cu Kα), from DFT lattice parameters and positions (GGA-PBE).
No peak broadening, texture or thermal motion is included.

Top 6 peaks for 2θ = 10–90°, in order of rising 2θ:
21.17 deg, I = 18, (0 0 4); 37.10 deg, I = 1000, (1 1 4); 43.10 deg, I = 488, (2 0 0); 62.59 deg, I = 313, (2 2 0); 75.05 deg, I = 360, (3 1 4); 79.02 deg, I = 104, (2 2 8)

Atomic structure:
```
La3TmPd12
1.0
4.1990 0.0000 0.0000
0.0000 4.1990 0.0000
0.0000 0.0000 16.7779
La Tm Pd
3 1 12
direct
0.0000 0.0000 0.0000
0.0000 0.0000 0.2557
0.0000 0.0000 0.7443
0.0000 0.0000 0.5000
0.0000 0.5000 0.1269
0.0000 0.5000 0.3818
0.0000 0.5000 0.6182
0.0000 0.5000 0.8731
0.5000 0.0000 0.1269
0.5000 0.0000 0.3818
0.5000 0.0000 0.6182
0.5000 0.0000 0.8731
0.5000 0.5000 0.0000
0.5000 0.5000 0.2536
0.5000 0.5000 0.5000
0.5000 0.5000 0.7464
```